Structure and computed X-ray diffraction stick pattern of SeI (a PBE-relaxed structure; Cu Kα (λ = 1.5418 Å)).
Peak positions follow from Bragg's law for the DFT cell and can differ from measured ones.

Most intense lines, 2θ = 10–80°, by intensity:
2θ (°), d/Å, Rel. int., hkl
29.0, 3.077, 100, 1 -1 1
29.5, 3.030, 99, 0 1 2
23.2, 3.832, 85, 1 1 1
24.2, 3.674, 75, 1 1 0
18.2, 4.879, 73, 0 1 1
41.0, 2.204, 58, -1 2 1
28.7, 3.116, 43, 1 0 -1
14.4, 6.131, 43, 0 1 0

Structural model:
```
SeI
1.0
4.4779 0.0000 0.0000
1.1134 6.2546 0.0000
2.0838 1.2558 6.2327
Se I
2 2
direct
0.0000 0.0000 0.0000
0.3504 0.2598 0.8293
0.3149 0.6520 0.1773
0.6384 0.1610 0.4491
```